Theoretical PXRD pattern of NdEr6Tl for copper Kα, from a crystal structure in Alexandria, relaxed with GGA-PBE.
Intensities are scaled so that the largest is 100.

Principal peaks in the range 2θ = 15–90°, by intensity:
Position (°2θ), I_rel
31.4, 100.0
36.6, 33.3
62.7, 28.1
52.4, 24.1
36.2, 17.2
62.1, 14.5
65.6, 12.3
85.8, 12.1
52.7, 11.8
86.3, 6.0

Atomic structure:
```
NdEr6Tl
1.0
6.945 0.000 0.000
0.000 6.945 0.000
0.000 0.000 4.969
Nd Er Tl
1 6 1
direct
0.000 0.000 0.000
0.000 0.500 0.000
0.249 0.249 0.500
0.249 0.751 0.500
0.500 0.000 0.000
0.751 0.249 0.500
0.751 0.751 0.500
0.500 0.500 0.000
```

=====

Theoretical PXRD pattern of CrSb2Br for copper Kα, from a crystal structure in Alexandria, relaxed with GGA-PBE.
Intensities are scaled so that the largest is 100.

Principal peaks in the range 2θ = 15–90°, by intensity:
Position (°2θ), I_rel
30.5, 100.0
35.5, 34.4
49.2, 33.8
44.8, 33.2
37.6, 29.3
32.0, 22.7
59.0, 22.2
28.0, 20.5
70.8, 15.9
89.1, 13.6

Atomic structure:
```
CrSb2Br
1.0
1.851 1.068 9.574
-1.851 1.068 9.574
0.000 -2.137 9.574
Cr Sb Br
1 2 1
direct
0.000 0.000 0.000
0.268 0.268 0.268
0.525 0.525 0.525
0.721 0.721 0.721
```

=====

Theoretical PXRD pattern of AcPmPr2Sm2 for copper Kα, from a crystal structure in Alexandria, relaxed with GGA-PBE.
Intensities are scaled so that the largest is 100.

Principal peaks in the range 2θ = 15–90°, by intensity:
Position (°2θ), I_rel
30.1, 100.0
30.6, 67.3
30.4, 34.0
59.6, 30.6
54.0, 26.2
43.4, 25.0
54.2, 13.6
53.9, 13.2
43.5, 12.1
76.7, 9.8

Atomic structure:
```
AcPmPr2Sm2
1.0
7.316 0.000 0.000
0.000 5.871 0.000
0.000 0.000 10.125
Ac Pm Pr Sm
2 2 4 4
direct
0.000 0.000 0.000
0.500 0.000 0.000
0.250 0.500 0.169
0.750 0.500 0.831
0.000 0.500 0.500
0.250 0.000 0.664
0.500 0.500 0.500
0.750 0.000 0.336
0.250 0.000 0.335
0.250 0.500 0.830
0.750 0.000 0.665
0.750 0.500 0.170
```

=====

Theoretical PXRD pattern of ThNbSe6 for copper Kα, from a crystal structure in Alexandria, relaxed with GGA-PBE.
Intensities are scaled so that the largest is 100.

Principal peaks in the range 2θ = 15–90°, by intensity:
Position (°2θ), I_rel
30.9, 100.0
37.1, 96.8
32.3, 81.5
31.1, 74.1
22.4, 64.1
18.1, 59.3
33.9, 56.0
21.2, 50.1
35.2, 48.0
22.5, 47.6

Atomic structure:
```
ThNbSe6
1.0
5.252 0.000 0.000
-1.207 5.908 0.000
-0.142 -1.426 6.648
Th Nb Se
1 1 6
direct
0.000 0.000 0.000
0.500 0.500 0.500
0.148 0.249 0.673
0.176 0.517 0.215
0.467 0.868 0.759
0.533 0.132 0.241
0.824 0.483 0.785
0.852 0.751 0.327
```

=====

Theoretical PXRD pattern of TaTi for copper Kα, from a crystal structure in Alexandria, relaxed with GGA-PBE.
Intensities are scaled so that the largest is 100.

Principal peaks in the range 2θ = 15–90°, by intensity:
Position (°2θ), I_rel
38.7, 100.0
16.3, 30.0
25.6, 28.7
39.7, 24.2
38.1, 23.6
56.1, 15.1
69.3, 10.6
43.1, 10.4
31.5, 10.3
70.5, 9.7

Atomic structure:
```
TaTi
1.0
2.880 0.000 0.000
0.000 4.544 0.000
-0.890 0.000 5.425
Ta Ti
2 2
direct
0.087 0.250 0.362
0.913 0.750 0.638
0.440 0.750 0.143
0.560 0.250 0.857
```